# Na6Cr2PC4O16
Computed PXRD pattern, Cu Kα, 1.54184 Å. Input: a structure optimized by DFT (PBE+U).
Neutral-atom scattering factors, no anomalous dispersion.

Peak list (6 most intense, 2θ = 15–90°, most intense first)
2theta  I (rel.)
33.2  100.0
21.0  71.6
36.2  47.3
56.8  30.3
46.2  19.5
37.9  16.7

Atomic structure:
Unit cell a=14.0414 b=14.0414 c=14.0414 alpha=90.00 beta=90.00 gamma=90.00
Space group Fd-3 (No. 203, origin choice 2)
Symmetry-distinct sites (fractional):
1 Na 0.0802 0.3750 0.3750 (multiplicity 48)
2 Cr 0.0000 0.0000 0.5000 (multiplicity 16)
3 P 0.1250 0.1250 0.1250 (multiplicity 8)
4 C 0.0344 0.0344 0.7156 (multiplicity 32)
5 O 0.0209 0.2745 0.6046 (multiplicity 96)
6 O 0.0608 0.0608 0.0608 (multiplicity 32)